Simulated powder diffraction line list
Compound: Dy3Ge3Rh2
Radiation: a wavelength of 1.5418 Å
Structure: DFT lattice parameters and positions (PBE)

Most intense lines, 15 to 90 degrees two-theta, low angle first:
- 33.51°, I 100, hkl 2 4 0
- 34.09°, I 49, hkl 1 1 2
- 36.85°, I 26, hkl 3 0 1
- 37.18°, I 42, hkl 2 4 1
- 37.41°, I 20, hkl 3 1 1
- 37.94°, I 22, hkl 0 6 0
- 38.63°, I 60, hkl 1 3 2
- 41.64°, I 20, hkl 3 3 1
- 42.26°, I 21, hkl 1 4 2
- 47.66°, I 28, hkl 4 0 1

```
data_Dy3Ge3Rh2
_chemical_formula_sum 'Dy12 Ge12 Rh8'
_space_group_name_H-M_alt 'P 1'
_space_group_IT_number 1
_cell_length_a 8.105
_cell_length_b 14.230
_cell_length_c 5.671
_cell_angle_alpha 90.00
_cell_angle_beta 90.00
_cell_angle_gamma 90.00
loop_
_space_group_symop_operation_xyz
'x,y,z'
loop_
_atom_site_label
_atom_site_type_symbol
_atom_site_fract_x
_atom_site_fract_y
_atom_site_fract_z
_atom_site_occupancy
Dy1 Dy 0.041 0.112 0.122 1
Dy2 Dy 0.041 0.388 0.122 1
Dy3 Dy 0.188 0.250 0.634 1
Dy4 Dy 0.312 0.750 0.134 1
Dy5 Dy 0.459 0.612 0.622 1
Dy6 Dy 0.459 0.888 0.622 1
Dy7 Dy 0.541 0.112 0.378 1
Dy8 Dy 0.541 0.388 0.378 1
Dy9 Dy 0.688 0.250 0.866 1
Dy10 Dy 0.812 0.750 0.366 1
Dy11 Dy 0.959 0.612 0.878 1
Dy12 Dy 0.959 0.888 0.878 1
Ge1 Ge 0.168 0.750 0.613 1
Ge2 Ge 0.202 0.037 0.625 1
Ge3 Ge 0.202 0.463 0.625 1
Ge4 Ge 0.298 0.537 0.125 1
Ge5 Ge 0.298 0.963 0.125 1
Ge6 Ge 0.332 0.250 0.113 1
Ge7 Ge 0.668 0.750 0.887 1
Ge8 Ge 0.702 0.037 0.875 1
Ge9 Ge 0.702 0.463 0.875 1
Ge10 Ge 0.798 0.537 0.375 1
Ge11 Ge 0.798 0.963 0.375 1
Ge12 Ge 0.832 0.250 0.387 1
Rh1 Rh 0.078 0.599 0.383 1
Rh2 Rh 0.078 0.901 0.383 1
Rh3 Rh 0.422 0.099 0.883 1
Rh4 Rh 0.422 0.401 0.883 1
Rh5 Rh 0.578 0.599 0.117 1
Rh6 Rh 0.578 0.901 0.117 1
Rh7 Rh 0.922 0.099 0.617 1
Rh8 Rh 0.922 0.401 0.617 1
```